Zr4AgPd: computed XRD peak list (Cu Ka), based on the GGA-PBE geometry in OQMD.
Kinematic intensities with the Lorentz-polarization factor, no thermal factor.

Crystal structure
```
data_Zr4AgPd
_chemical_formula_sum 'Zr8 Ag2 Pd2'
_cell_length_a 4.6338
_cell_length_b 11.5802
_cell_length_c 4.6305
_cell_angle_alpha 90.00
_cell_angle_beta 90.00
_cell_angle_gamma 90.00
_space_group_name_H-M_alt 'A m m 2'
_space_group_IT_number 38
loop_
_space_group_symop_operation_xyz
'x,y,z'
'-x,-y,z'
'-x,y,z'
'x,-y,z'
'x,y+1/2,z+1/2'
'-x,-y+1/2,z+1/2'
'-x,y+1/2,z+1/2'
'x,-y+1/2,z+1/2'
loop_
_atom_site_label
_atom_site_type_symbol
_atom_site_fract_x
_atom_site_fract_y
_atom_site_fract_z
Zr1 Zr 0.0000 0.1598 0.0000
Zr2 Zr 0.5000 0.1607 0.5006
Ag1 Ag 0.5000 0.0000 0.0015
Pd1 Pd 0.0000 0.0000 0.4981
```

Main lines, sorted by position (2θ = 5–70°):
index, 2theta, I_rel
0 2 0, 15.3, 2.1
1 3 1, 36.0, 100.0
2 0 0, 38.9, 40.4
2 2 0, 42.0, 0.7
0 6 0, 47.1, 11.1
1 5 1, 48.1, 1.3
2 0 2, 56.2, 13.4
2 6 0, 62.7, 18.3
3 3 1, 68.5, 28.6


Li2HfCdIn2Pt2: computed XRD peak list (Cu Ka), based on the GGA-PBE geometry in OQMD.
Kinematic intensities with the Lorentz-polarization factor, no thermal factor.

Crystal structure
```
data_Li2HfCdIn2Pt2
_chemical_formula_sum 'Li2 Hf1 Cd1 In2 Pt2'
_cell_length_a 4.6175
_cell_length_b 4.6175
_cell_length_c 6.6133
_cell_angle_alpha 90.00
_cell_angle_beta 90.00
_cell_angle_gamma 90.00
_space_group_name_H-M_alt 'P -4 m 2'
_space_group_IT_number 115
loop_
_space_group_symop_operation_xyz
'x,y,z'
'y,-x,-z'
'-x,-y,z'
'-y,x,-z'
'-x,y,z'
'-y,-x,-z'
'x,-y,z'
'y,x,-z'
loop_
_atom_site_label
_atom_site_type_symbol
_atom_site_fract_x
_atom_site_fract_y
_atom_site_fract_z
Li1 Li 0.0000 0.5000 0.2262
Hf1 Hf 0.0000 0.0000 0.5000
Cd1 Cd 0.5000 0.5000 0.0000
In1 In 0.0000 0.0000 0.0000
In2 In 0.5000 0.5000 0.5000
Pt1 Pt 0.0000 0.5000 0.7282
```

Main lines, sorted by position (2θ = 5–70°):
index, 2theta, I_rel
0 0 1, 13.4, 4.8
1 0 1, 23.5, 61.8
1 1 2, 38.8, 100.0
2 0 0, 39.0, 50.7
1 0 3, 45.6, 9.4
2 1 1, 46.0, 21.2
0 0 4, 55.6, 7.9
2 2 0, 56.4, 17.3
2 1 3, 61.5, 7.8
2 0 4, 70.0, 15.8


Gd3LuPt4: computed XRD peak list (Cu Ka), based on the GGA-PBE geometry in OQMD.
Kinematic intensities with the Lorentz-polarization factor, no thermal factor.

Crystal structure
```
data_Gd3LuPt4
_chemical_formula_sum 'Gd3 Lu1 Pt4'
_cell_length_a 5.5695
_cell_length_b 4.5132
_cell_length_c 7.0501
_cell_angle_alpha 90.00
_cell_angle_beta 90.52
_cell_angle_gamma 90.00
_space_group_name_H-M_alt 'P 1 m 1'
_space_group_IT_number 6
loop_
_space_group_symop_operation_xyz
'x,y,z'
'x,-y,z'
loop_
_atom_site_label
_atom_site_type_symbol
_atom_site_fract_x
_atom_site_fract_y
_atom_site_fract_z
Gd1 Gd 0.0000 0.0000 0.0000
Gd2 Gd 0.2176 0.0000 0.4979
Gd3 Gd 0.7165 0.5000 0.6340
Lu1 Lu 0.4989 0.5000 0.1353
Pt1 Pt 0.0151 0.5000 0.2698
Pt2 Pt 0.2065 0.5000 0.7775
Pt3 Pt 0.5126 0.0000 0.8707
Pt4 Pt 0.6978 0.0000 0.3520
```

Main lines, sorted by position (2θ = 5–70°):
index, 2theta, I_rel
0 1 2, 32.2, 82.6
2 0 -1, 34.5, 24.7
2 0 1, 34.7, 21.3
1 1 -2, 36.0, 49.6
1 1 2, 36.2, 56.3
0 2 0, 40.0, 100.0
2 1 1, 40.2, 46.6
2 2 -1, 53.8, 14.1
1 0 4, 54.8, 13.0
4 0 0, 67.3, 13.5


Er3Mg3Al2Zn: computed XRD peak list (Cu Ka), based on the GGA-PBE geometry in OQMD.
Kinematic intensities with the Lorentz-polarization factor, no thermal factor.

Crystal structure
```
data_Er3Mg3Al2Zn
_chemical_formula_sum 'Er3 Mg3 Al2 Zn1'
_cell_length_a 7.3411
_cell_length_b 7.3411
_cell_length_c 4.3959
_cell_angle_alpha 90.00
_cell_angle_beta 90.00
_cell_angle_gamma 120.00
_space_group_name_H-M_alt 'P -6 2 m'
_space_group_IT_number 189
_space_group_name_Hall 'P -6 -2'
loop_
_atom_site_label
_atom_site_type_symbol
_atom_site_fract_x
_atom_site_fract_y
_atom_site_fract_z
Er1 Er 0.0000 0.4208 0.0000
Mg1 Mg 0.0000 0.7588 0.5000
Al1 Al 0.3333 0.6667 0.5000
Zn1 Zn 0.0000 0.0000 0.0000
```

Main lines, sorted by position (2θ = 5–70°):
index, 2theta, I_rel
0 0 1, 20.2, 54.8
1 1 0, 24.2, 40.1
2 0 0, 28.1, 52.7
1 1 1, 31.8, 84.1
2 0 1, 34.8, 100.0
2 1 0, 37.4, 30.0
0 0 2, 41.1, 23.4
3 1 0, 51.9, 26.1
3 1 1, 56.2, 42.5
3 1 2, 68.2, 23.1


NaW6NCl18: computed XRD peak list (Cu Ka), based on the GGA-PBE geometry in OQMD.
Kinematic intensities with the Lorentz-polarization factor, no thermal factor.

Crystal structure
```
data_NaW6NCl18
_chemical_formula_sum 'Na2 W12 N2 Cl36'
_cell_length_a 9.1597
_cell_length_b 9.1597
_cell_length_c 18.2260
_cell_angle_alpha 90.00
_cell_angle_beta 90.00
_cell_angle_gamma 120.00
_space_group_name_H-M_alt 'P 63/m'
_space_group_IT_number 176
_space_group_name_Hall '-P 6c'
loop_
_atom_site_label
_atom_site_type_symbol
_atom_site_fract_x
_atom_site_fract_y
_atom_site_fract_z
Na1 Na 0.0000 0.0000 0.0000
W1 W 0.1820 0.4863 0.1650
N1 N 0.3333 0.6667 0.2500
Cl1 Cl 0.0299 0.7651 0.6022
Cl2 Cl 0.0506 0.5706 0.7500
Cl3 Cl 0.0894 0.8049 0.2500
Cl4 Cl 0.1137 0.6317 0.0734
```

Main lines, sorted by position (2θ = 5–70°):
index, 2theta, I_rel
0 0 2, 9.7, 22.1
1 0 0, 11.2, 15.9
1 0 1, 12.2, 100.0
1 1 1, 20.0, 7.6
1 0 5, 26.9, 11.2
1 2 2, 31.4, 8.7
2 2 1, 39.7, 7.5
1 3 1, 41.3, 7.0
1 2 6, 42.4, 17.5
2 2 5, 46.9, 7.6


PrInPdPt: computed XRD peak list (Cu Ka), based on the GGA-PBE geometry in OQMD.
Kinematic intensities with the Lorentz-polarization factor, no thermal factor.

Crystal structure
```
data_PrInPdPt
_chemical_formula_sum 'Pr2 In2 Pd2 Pt2'
_cell_length_a 4.6603
_cell_length_b 4.6603
_cell_length_c 9.3019
_cell_angle_alpha 90.00
_cell_angle_beta 90.00
_cell_angle_gamma 120.00
_space_group_name_H-M_alt 'P 63 m c'
_space_group_IT_number 186
_space_group_name_Hall 'P 6c -2c'
loop_
_atom_site_label
_atom_site_type_symbol
_atom_site_fract_x
_atom_site_fract_y
_atom_site_fract_z
Pr1 Pr 0.3333 0.6667 0.0000
In1 In 0.0000 0.0000 0.2472
Pd1 Pd 0.3333 0.6667 0.3317
Pt1 Pt 0.3333 0.6667 0.6650
```

Main lines, sorted by position (2θ = 5–70°):
index, 2theta, I_rel
0 0 2, 19.1, 12.3
1 0 0, 22.0, 13.4
1 0 2, 29.3, 17.4
1 0 3, 36.5, 100.0
1 1 0, 38.6, 93.1
1 1 2, 43.4, 9.1
2 0 3, 54.2, 33.3
1 0 6, 64.4, 14.7
2 1 3, 68.6, 32.3
3 0 0, 69.9, 15.8